1.
This entry pairs a crystal structure of Ho2Sn5Pd12 with its theoretical X-ray diffraction stick pattern. Radiation: copper Kα. Structure: a GGA-PBE-relaxed structure.

Largest 10 diffraction maxima, by angle, 2θ from 10° to 90°:
29.4°, I 16
29.9°, I 15
35.7°, I 23
37.0°, I 49
37.5°, I 100
38.8°, I 28
42.3°, I 29
42.8°, I 29
43.7°, I 27
44.0°, I 15

Crystal structure
Cell: 7.7016 7.7016 6.7735 Å, 90.39 90.39 65.15°
Sites, in units of the cell vectors:
1 Ho 0.2265 0.7735 0.0000
2 Ho 0.7735 0.2265 0.0000
3 Sn 0.0000 0.0000 0.5000
4 Sn 0.2349 0.2349 0.4559
5 Sn 0.3364 0.3364 0.8768
6 Sn 0.6636 0.6636 0.1232
7 Sn 0.7651 0.7651 0.5441
8 Pd 0.0899 0.4841 0.1753
9 Pd 0.1276 0.1276 0.8076
10 Pd 0.1715 0.6078 0.5708
11 Pd 0.3922 0.8285 0.4292
12 Pd 0.4626 0.4626 0.2655
13 Pd 0.4841 0.0899 0.1753
14 Pd 0.5159 0.9101 0.8247
15 Pd 0.5374 0.5374 0.7345
16 Pd 0.6078 0.1715 0.5708
17 Pd 0.8285 0.3922 0.4292
18 Pd 0.8724 0.8724 0.1924
19 Pd 0.9101 0.5159 0.8247


2.
This entry pairs a crystal structure of SrLi2AcTl2 with its theoretical X-ray diffraction stick pattern. Radiation: copper Kα. Structure: a GGA-PBE-relaxed structure.

Largest 10 diffraction maxima, by angle, 2θ from 10° to 90°:
11.0°, I 22
22.9°, I 89
29.9°, I 100
35.0°, I 65
39.2°, I 26
42.2°, I 18
46.7°, I 30
55.9°, I 16
58.3°, I 25
59.6°, I 29

Crystal structure
Cell: 5.1316 5.1316 8.0523 Å, 90.00 90.00 120.00°
Sites, in units of the cell vectors:
1 Sr 0.0000 0.0000 0.0000
2 Li 0.3333 0.6667 0.7381
3 Li 0.6667 0.3333 0.2619
4 Ac 0.0000 0.0000 0.5000
5 Tl 0.3333 0.6667 0.2734
6 Tl 0.6667 0.3333 0.7266


3.
This entry pairs a crystal structure of PmDy2Er6Tm with its theoretical X-ray diffraction stick pattern. Radiation: copper Kα. Structure: a GGA-PBE-relaxed structure.

Largest 10 diffraction maxima, by angle, 2θ from 10° to 90°:
28.4°, I 14
28.8°, I 34
31.0°, I 97
31.7°, I 100
32.0°, I 34
32.7°, I 17
34.3°, I 45
35.0°, I 13
56.8°, I 12
60.2°, I 13

Crystal structure
Cell: 8.7090 8.7090 9.4642 Å, 93.73 93.73 117.84°
Sites, in units of the cell vectors:
1 Pm 0.0240 0.9760 0.7500
2 Pm 0.9760 0.0240 0.2500
3 Dy 0.1983 0.3042 0.5458
4 Dy 0.3042 0.1983 0.0458
5 Dy 0.6958 0.8017 0.9542
6 Dy 0.8017 0.6958 0.4542
7 Er 0.0183 0.5678 0.6839
8 Er 0.1253 0.7491 0.0574
9 Er 0.2509 0.8747 0.4426
10 Er 0.2914 0.5074 0.8817
11 Er 0.4322 0.9817 0.8161
12 Er 0.4926 0.7086 0.6183
13 Er 0.5074 0.2914 0.3817
14 Er 0.5678 0.0183 0.1839
15 Er 0.7086 0.4926 0.1183
16 Er 0.7491 0.1253 0.5574
17 Er 0.8747 0.2509 0.9426
18 Er 0.9817 0.4322 0.3161
19 Tm 0.4093 0.5907 0.2500
20 Tm 0.5907 0.4093 0.7500


4.
This entry pairs a crystal structure of PmPd5Au2 with its theoretical X-ray diffraction stick pattern. Radiation: copper Kα. Structure: a GGA-PBE-relaxed structure.

Largest 10 diffraction maxima, by angle, 2θ from 10° to 90°:
11.0°, I 9
22.1°, I 4
37.8°, I 100
43.3°, I 34
45.1°, I 15
63.0°, I 11
64.3°, I 21
75.8°, I 26
78.3°, I 12
80.7°, I 11

Crystal structure
Cell: 8.5710 8.5710 8.5710 Å, 151.81 151.81 40.30°
Sites, in units of the cell vectors:
1 Pm 0.0000 0.0000 0.0000
2 Pd 0.1286 0.6286 0.5000
3 Pd 0.3714 0.8714 0.5000
4 Pd 0.5000 0.5000 0.0000
5 Pd 0.6286 0.1286 0.5000
6 Pd 0.8714 0.3714 0.5000
7 Au 0.2515 0.2515 0.0000
8 Au 0.7485 0.7485 0.0000


5.
This entry pairs a crystal structure of Ac3Ni4As4 with its theoretical X-ray diffraction stick pattern. Radiation: copper Kα. Structure: a GGA-PBE-relaxed structure.

Largest 10 diffraction maxima, by angle, 2θ from 10° to 90°:
23.6°, I 33
30.3°, I 44
32.8°, I 100
32.9°, I 76
39.3°, I 40
41.5°, I 35
42.6°, I 33
54.8°, I 35
60.9°, I 23
70.2°, I 17

Crystal structure
Cell: 4.2476 4.3538 12.6402 Å, 99.77 99.65 90.06°
Sites, in units of the cell vectors:
1 Ac 0.0000 0.0000 0.0000
2 Ac 0.3469 0.8496 0.6922
3 Ac 0.6531 0.1504 0.3078
4 Ni 0.0991 0.5975 0.1968
5 Ni 0.2527 0.2216 0.4985
6 Ni 0.7473 0.7784 0.5015
7 Ni 0.9009 0.4025 0.8032
8 As 0.1977 0.6856 0.3988
9 As 0.4426 0.4450 0.8864
10 As 0.5574 0.5550 0.1136
11 As 0.8023 0.3144 0.6012


6.
This entry pairs a crystal structure of Er12Co5Pb with its theoretical X-ray diffraction stick pattern. Radiation: copper Kα. Structure: a GGA-PBE-relaxed structure.

Largest 10 diffraction maxima, by angle, 2θ from 10° to 90°:
29.0°, I 25
30.1°, I 30
30.3°, I 35
32.7°, I 100
34.9°, I 53
35.5°, I 51
35.9°, I 42
38.7°, I 27
55.4°, I 22
61.0°, I 28

Crystal structure
Cell: 8.2144 8.2144 8.2144 Å, 110.95 110.76 106.73°
Sites, in units of the cell vectors:
1 Er 0.0149 0.2087 0.8062
2 Er 0.1849 0.2897 0.4746
3 Er 0.1849 0.7103 0.8952
4 Er 0.3126 0.0061 0.6935
5 Er 0.3126 0.6192 0.3065
6 Er 0.4025 0.2087 0.1938
7 Er 0.5975 0.7913 0.8062
8 Er 0.6874 0.3808 0.6935
9 Er 0.6874 0.9939 0.3065
10 Er 0.8151 0.2897 0.1048
11 Er 0.8151 0.7103 0.5254
12 Er 0.9851 0.7913 0.1938
13 Co 0.0000 0.0000 0.0000
14 Co 0.1124 0.6124 0.5000
15 Co 0.3776 0.0000 0.3776
16 Co 0.6224 0.0000 0.6224
17 Co 0.8876 0.3876 0.5000
18 Pb 0.5000 0.5000 0.0000


7.
This entry pairs a crystal structure of HfTi4S5 with its theoretical X-ray diffraction stick pattern. Radiation: copper Kα. Structure: a GGA-PBE-relaxed structure.

Largest 10 diffraction maxima, by angle, 2θ from 10° to 90°:
21.1°, I 54
22.1°, I 27
30.7°, I 51
35.3°, I 100
36.3°, I 47
44.6°, I 25
50.3°, I 23
50.8°, I 25
51.5°, I 64
64.0°, I 24

Crystal structure
Cell: 6.1964 6.1964 6.1964 Å, 99.20 99.20 132.85°
Sites, in units of the cell vectors:
1 Hf 0.0000 0.0000 0.0000
2 Ti 0.1561 0.4067 0.5628
3 Ti 0.4067 0.8439 0.2506
4 Ti 0.5933 0.1561 0.7494
5 Ti 0.8439 0.5933 0.4372
6 S 0.1260 0.7044 0.8304
7 S 0.2956 0.1260 0.4215
8 S 0.5000 0.5000 0.0000
9 S 0.7044 0.8740 0.5785
10 S 0.8740 0.2956 0.1696


8.
This entry pairs a crystal structure of Pm4Pr2Dy3 with its theoretical X-ray diffraction stick pattern. Radiation: copper Kα. Structure: a GGA-PBE-relaxed structure.

Largest 10 diffraction maxima, by angle, 2θ from 10° to 90°:
28.3°, I 44
29.8°, I 44
31.3°, I 57
32.9°, I 100
41.6°, I 27
50.1°, I 35
55.9°, I 32
59.4°, I 38
61.3°, I 17
83.0°, I 14

Crystal structure
Cell: 3.6394 3.6394 26.9872 Å, 90.00 90.00 120.00°
Sites, in units of the cell vectors:
1 Pm 0.0000 0.0000 0.0000
2 Pm 0.0000 0.0000 0.2127
3 Pm 0.3333 0.6667 0.3235
4 Pm 0.3333 0.6667 0.5380
5 Pr 0.0000 0.0000 0.6512
6 Pr 0.0000 0.0000 0.8672
7 Dy 0.0000 0.0000 0.4310
8 Dy 0.3333 0.6667 0.1044
9 Dy 0.3333 0.6667 0.7612


9.
This entry pairs a crystal structure of Y3W with its theoretical X-ray diffraction stick pattern. Radiation: copper Kα. Structure: a GGA-PBE-relaxed structure.

Largest 10 diffraction maxima, by angle, 2θ from 10° to 90°:
16.2°, I 11
17.9°, I 25
32.3°, I 33
32.7°, I 19
34.1°, I 100
35.2°, I 12
46.6°, I 14
48.5°, I 10
58.8°, I 21
61.9°, I 10

Crystal structure
Cell: 6.3901 6.3901 6.3901 Å, 147.59 128.59 62.09°
Sites, in units of the cell vectors:
1 Y 0.0000 0.0000 0.0000
2 Y 0.2932 0.7932 0.5000
3 Y 0.7068 0.2068 0.5000
4 W 0.5000 0.5000 0.0000


10.
This entry pairs a crystal structure of TmZn2Ag6 with its theoretical X-ray diffraction stick pattern. Radiation: copper Kα. Structure: a GGA-PBE-relaxed structure.

Largest 10 diffraction maxima, by angle, 2θ from 10° to 90°:
33.7°, I 60
33.9°, I 64
35.4°, I 47
36.2°, I 56
36.5°, I 74
37.3°, I 93
38.9°, I 78
39.4°, I 58
40.3°, I 100
42.6°, I 37

Crystal structure
Cell: 6.9553 6.9553 8.8807 Å, 115.83 115.83 64.81°
Sites, in units of the cell vectors:
1 Tm 0.1430 0.8570 0.7500
2 Tm 0.8570 0.1430 0.2500
3 Zn 0.2144 0.3667 0.4872
4 Zn 0.3667 0.2144 0.9872
5 Zn 0.6333 0.7856 0.0128
6 Zn 0.7856 0.6333 0.5128
7 Ag 0.0347 0.2856 0.6722
8 Ag 0.0824 0.6723 0.0190
9 Ag 0.2856 0.0347 0.1722
10 Ag 0.3277 0.9176 0.4810
11 Ag 0.4022 0.4380 0.3205
12 Ag 0.4380 0.4022 0.8205
13 Ag 0.5620 0.5978 0.1795
14 Ag 0.5978 0.5620 0.6795
15 Ag 0.6723 0.0824 0.5190
16 Ag 0.7144 0.9653 0.8278
17 Ag 0.9176 0.3277 0.9810
18 Ag 0.9653 0.7144 0.3278


11.
This entry pairs a crystal structure of Sr2Ti2O5 with its theoretical X-ray diffraction stick pattern. Radiation: copper Kα. Structure: a GGA-PBE-relaxed structure.

Largest 10 diffraction maxima, by angle, 2θ from 10° to 90°:
31.8°, I 58
32.0°, I 100
39.4°, I 26
45.6°, I 38
46.2°, I 18
56.8°, I 39
57.2°, I 20
66.5°, I 11
67.0°, I 21
84.8°, I 10

Crystal structure
Cell: 8.8042 8.8042 8.8042 Å, 142.74 53.70 142.76°
Sites, in units of the cell vectors:
1 Sr 0.1200 0.0020 0.1180
2 Sr 0.3840 0.0020 0.3820
3 Sr 0.6160 0.9980 0.6180
4 Sr 0.8800 0.9980 0.8820
5 Ti 0.0000 0.5000 0.5000
6 Ti 0.2320 0.4820 0.7500
7 Ti 0.5000 0.5000 0.0000
8 Ti 0.7680 0.5180 0.2500
9 O 0.0000 0.0000 0.5000
10 O 0.0000 0.5000 0.0000
11 O 0.1651 0.5364 0.6287
12 O 0.2421 0.0000 0.7421
13 O 0.2421 0.5000 0.2421
14 O 0.4078 0.5364 0.8713
15 O 0.5922 0.4636 0.1287
16 O 0.7579 0.0000 0.2579
17 O 0.7579 0.5000 0.7579
18 O 0.8349 0.4636 0.3713


12.
This entry pairs a crystal structure of Ta with its theoretical X-ray diffraction stick pattern. Radiation: copper Kα. Structure: a GGA-PBE-relaxed structure.

Largest 10 diffraction maxima, by angle, 2θ from 10° to 90°:
33.6°, I 20
36.2°, I 77
37.3°, I 36
38.1°, I 32
39.1°, I 66
40.1°, I 100
41.1°, I 47
63.4°, I 22
64.5°, I 25
66.5°, I 18

Crystal structure
Cell: 10.2391 10.2391 5.3327 Å, 90.00 90.00 90.00°
Sites, in units of the cell vectors:
1 Ta 0.0000 0.5000 0.2491
2 Ta 0.0347 0.1287 0.7492
3 Ta 0.0673 0.2391 0.2493
4 Ta 0.1049 0.3951 0.7489
5 Ta 0.1287 0.9653 0.2508
6 Ta 0.1816 0.6816 0.5005
7 Ta 0.1815 0.6815 0.9992
8 Ta 0.2391 0.9327 0.7507
9 Ta 0.2609 0.4327 0.2493
10 Ta 0.3185 0.1815 0.0008
11 Ta 0.3184 0.1816 0.4995
12 Ta 0.3713 0.4653 0.7492
13 Ta 0.3951 0.8951 0.2511
14 Ta 0.4327 0.7391 0.7507
15 Ta 0.4653 0.6287 0.2508
16 Ta 0.5000 0.0000 0.7509
17 Ta 0.5347 0.3713 0.2508
18 Ta 0.5673 0.2609 0.7507
19 Ta 0.6049 0.1049 0.2511
20 Ta 0.6287 0.5347 0.7492
21 Ta 0.6815 0.8185 0.0008
22 Ta 0.6816 0.8184 0.4995
23 Ta 0.7391 0.5673 0.2493
24 Ta 0.7609 0.0673 0.7507
25 Ta 0.8184 0.3184 0.5005
26 Ta 0.8185 0.3185 0.9992
27 Ta 0.8713 0.0347 0.2508
28 Ta 0.8951 0.6049 0.7489
29 Ta 0.9327 0.7609 0.2493
30 Ta 0.9653 0.8713 0.7492


Which formula does entry 5 have? Ac3Ni4As4


Which formula does entry 4 have? PmPd5Au2